Record 1
HfCr3Au: computed XRD peak list (Cu Kα X-rays), based on a crystal structure in Alexandria, relaxed with GGA-PBE.

Crystal structure
Lattice parameters (Å, degrees): 4.8489 4.8489 4.8489 90.00 90.00 90.00
Space group Pm-3m (No. 221)
Unique sites:
Hf1 0.0000 0.0000 0.0000 [1 per cell]
Cr1 0.0000 0.5000 0.5000 [3 per cell]
Au1 0.5000 0.5000 0.5000 [1 per cell]

The 12 most intense peaks (10 to 80 degrees two-theta), by angle:
(1 0 0), d = 4.849 Å, I = 7
(1 1 0), d = 3.429 Å, I = 100
(1 1 1), d = 2.799 Å, I = 8
(2 0 0), d = 2.424 Å, I = 57
(2 1 0), d = 2.168 Å, I = 3
(2 1 1), d = 1.980 Å, I = 46
(2 2 0), d = 1.714 Å, I = 39
(3 1 0), d = 1.533 Å, I = 21
(3 1 1), d = 1.462 Å, I = 2
(2 2 2), d = 1.400 Å, I = 13
(3 2 1), d = 1.296 Å, I = 24
(4 0 0), d = 1.212 Å, I = 6

=====

Record 2
CrHg2Au: computed XRD peak list (Cu Kα X-rays), based on a crystal structure in Alexandria, relaxed with GGA-PBE.

Crystal structure
Lattice parameters (Å, degrees): 3.2204 3.1619 8.1983 90.00 98.80 90.00
Space group Pm (No. 6)
Unique sites:
Cr1 0.0000 0.0000 0.0000 [1 per cell]
Hg1 0.1762 0.0000 0.4526 [1 per cell]
Hg2 0.4113 0.5000 0.7691 [1 per cell]
Au1 0.5791 0.5000 0.1981 [1 per cell]

The 12 most intense peaks (10 to 80 degrees two-theta), by angle:
(1 0 0), d = 3.182 Å, I = 20
(1 0 -1), d = 3.130 Å, I = 28
(0 1 1), d = 2.946 Å, I = 24
(1 0 -2), d = 2.712 Å, I = 21
(0 0 3), d = 2.701 Å, I = 25
(0 1 2), d = 2.493 Å, I = 100
(1 0 2), d = 2.335 Å, I = 44
(1 1 0), d = 2.243 Å, I = 55
(1 0 -3), d = 2.235 Å, I = 25
(1 1 -1), d = 2.224 Å, I = 23
(1 1 4), d = 1.429 Å, I = 19
(2 1 -3), d = 1.335 Å, I = 16

=====

Record 3
Rb2CrAuI6: computed XRD peak list (Cu Kα X-rays), based on a crystal structure in Alexandria, relaxed with GGA-PBE.

Crystal structure
Lattice parameters (Å, degrees): 8.0539 8.0539 12.1209 90.00 90.00 90.00
Space group I4/mmm (No. 139)
Unique sites:
Rb1 0.0000 0.5000 0.2500 [4 per cell]
Cr1 0.0000 0.0000 0.0000 [2 per cell]
Au1 0.0000 0.0000 0.5000 [2 per cell]
I1 0.0000 0.0000 0.2262 [4 per cell]
I2 0.2484 0.2484 0.0000 [8 per cell]

The 12 most intense peaks (10 to 80 degrees two-theta), by angle:
(0 0 2), d = 6.060 Å, I = 26
(1 1 0), d = 5.695 Å, I = 42
(1 0 3), d = 3.611 Å, I = 16
(2 0 2), d = 3.354 Å, I = 99
(0 0 4), d = 3.030 Å, I = 55
(2 2 0), d = 2.847 Å, I = 100
(2 1 3), d = 2.689 Å, I = 16
(2 2 4), d = 2.075 Å, I = 74
(4 0 0), d = 2.013 Å, I = 36
(4 2 2), d = 1.726 Å, I = 28
(4 0 4), d = 1.677 Å, I = 38
(6 2 0), d = 1.273 Å, I = 16

=====

Record 4
CrIn2AuS: computed XRD peak list (Cu Kα X-rays), based on a crystal structure in Alexandria, relaxed with GGA-PBE.

Crystal structure
Lattice parameters (Å, degrees): 5.3988 5.3988 4.9307 90.00 90.00 90.00
Space group P4/mmm (No. 123)
Unique sites:
Cr1 0.0000 0.0000 0.0000 [1 per cell]
In1 0.0000 0.5000 0.5000 [2 per cell]
Au1 0.5000 0.5000 0.5000 [1 per cell]
S1 0.5000 0.5000 0.0000 [1 per cell]

The 12 most intense peaks (10 to 80 degrees two-theta), by angle:
(1 0 0), d = 5.399 Å, I = 62
(0 0 1), d = 4.931 Å, I = 95
(1 0 1), d = 3.641 Å, I = 76
(2 0 0), d = 2.699 Å, I = 100
(0 0 2), d = 2.465 Å, I = 39
(2 1 0), d = 2.414 Å, I = 17
(2 0 1), d = 2.368 Å, I = 62
(2 1 1), d = 2.168 Å, I = 38
(2 2 0), d = 1.909 Å, I = 36
(2 0 2), d = 1.820 Å, I = 61
(2 2 1), d = 1.780 Å, I = 26
(2 2 2), d = 1.509 Å, I = 34

=====

Record 5
KCrAu2: computed XRD peak list (Cu Kα X-rays), based on a crystal structure in Alexandria, relaxed with GGA-PBE.

Crystal structure
Lattice parameters (Å, degrees): 3.3001 3.3879 8.0537 90.00 90.00 90.00
Space group Pmmm (No. 47)
Unique sites:
K1 0.0000 0.0000 0.0000 [1 per cell]
Cr1 0.0000 0.0000 0.5000 [1 per cell]
Au1 0.5000 0.5000 0.3135 [2 per cell]

The 12 most intense peaks (10 to 80 degrees two-theta), by angle:
(0 0 1), d = 8.054 Å, I = 100
(0 0 2), d = 4.027 Å, I = 24
(0 1 0), d = 3.388 Å, I = 45
(1 0 0), d = 3.300 Å, I = 42
(0 0 3), d = 2.685 Å, I = 35
(0 1 2), d = 2.592 Å, I = 70
(1 0 2), d = 2.552 Å, I = 67
(1 1 0), d = 2.364 Å, I = 95
(0 1 3), d = 2.104 Å, I = 41
(1 0 3), d = 2.083 Å, I = 40
(1 1 3), d = 1.774 Å, I = 42
(1 2 2), d = 1.411 Å, I = 21

=====

Record 6
KCrTe2Au: computed XRD peak list (Cu Kα X-rays), based on a crystal structure in Alexandria, relaxed with GGA-PBE.

Crystal structure
Lattice parameters (Å, degrees): 6.6027 15.1501 6.2821 90.00 90.00 90.00
Space group Cmme (No. 67)
Unique sites:
K1 0.0000 0.2500 0.2158 [4 per cell]
Cr1 0.2500 0.0000 0.5000 [4 per cell]
Te1 0.0000 0.1197 0.6985 [8 per cell]
Au1 0.0000 0.0000 0.0000 [4 per cell]

The 12 most intense peaks (10 to 80 degrees two-theta), by angle:
(0 2 0), d = 7.575 Å, I = 100
(0 2 1), d = 4.836 Å, I = 23
(1 1 1), d = 4.359 Å, I = 34
(1 3 1), d = 3.381 Å, I = 63
(2 0 0), d = 3.301 Å, I = 55
(0 4 1), d = 3.244 Å, I = 30
(0 2 2), d = 2.901 Å, I = 32
(2 2 1), d = 2.727 Å, I = 40
(1 5 1), d = 2.523 Å, I = 21
(0 4 2), d = 2.418 Å, I = 43
(2 4 1), d = 2.314 Å, I = 51
(2 4 2), d = 1.951 Å, I = 33

=====

Record 7
MgCrAu2: computed XRD peak list (Cu Kα X-rays), based on a crystal structure in Alexandria, relaxed with GGA-PBE.

Crystal structure
Lattice parameters (Å, degrees): 3.5553 3.5553 5.7015 90.00 90.00 90.00
Space group P4mm (No. 99)
Unique sites:
Mg1 0.0000 0.0000 0.0000 [1 per cell]
Cr1 0.5000 0.5000 0.7084 [1 per cell]
Au1 0.0000 0.0000 0.5078 [1 per cell]
Au2 0.5000 0.5000 0.2074 [1 per cell]

The 12 most intense peaks (10 to 80 degrees two-theta), by angle:
(0 0 1), d = 5.701 Å, I = 42
(1 0 1), d = 3.017 Å, I = 74
(1 1 0), d = 2.514 Å, I = 78
(1 1 1), d = 2.300 Å, I = 19
(1 0 2), d = 2.224 Å, I = 100
(2 0 0), d = 1.778 Å, I = 28
(2 1 1), d = 1.532 Å, I = 21
(1 1 3), d = 1.516 Å, I = 14
(2 1 2), d = 1.389 Å, I = 44
(2 0 3), d = 1.298 Å, I = 9
(2 2 0), d = 1.257 Å, I = 9
(1 1 4), d = 1.240 Å, I = 11

=====

Record 8
MgCrAu: computed XRD peak list (Cu Kα X-rays), based on a crystal structure in Alexandria, relaxed with GGA-PBE.

Crystal structure
Lattice parameters (Å, degrees): 3.1900 3.7358 8.9149 90.00 90.00 90.00
Space group Imm2 (No. 44)
Unique sites:
Mg1 0.0000 0.0000 0.0000 [2 per cell]
Cr1 0.0000 0.0000 0.6771 [2 per cell]
Au1 0.0000 0.0000 0.3339 [2 per cell]

The 12 most intense peaks (10 to 80 degrees two-theta), by angle:
(0 0 2), d = 4.457 Å, I = 82
(0 1 1), d = 3.445 Å, I = 79
(1 0 1), d = 3.004 Å, I = 56
(1 1 0), d = 2.426 Å, I = 100
(0 1 3), d = 2.326 Å, I = 88
(1 0 3), d = 2.174 Å, I = 72
(1 1 2), d = 2.131 Å, I = 50
(0 2 0), d = 1.868 Å, I = 23
(1 1 4), d = 1.641 Å, I = 18
(1 2 3), d = 1.417 Å, I = 36
(2 1 3), d = 1.315 Å, I = 28
(1 1 6), d = 1.267 Å, I = 24

=====

Record 9
MnCrNiAu: computed XRD peak list (Cu Kα X-rays), based on a crystal structure in Alexandria, relaxed with GGA-PBE.

Crystal structure
Lattice parameters (Å, degrees): 3.8255 3.8255 7.6382 90.00 90.00 90.00
Space group I-4m2 (No. 119)
Unique sites:
Mn1 0.0000 0.0000 0.0000 [2 per cell]
Cr1 0.0000 0.5000 0.7500 [2 per cell]
Ni1 0.0000 0.5000 0.2500 [2 per cell]
Au1 0.0000 0.0000 0.5000 [2 per cell]

The 12 most intense peaks (10 to 80 degrees two-theta), by angle:
(0 0 2), d = 3.819 Å, I = 14
(1 0 1), d = 3.420 Å, I = 46
(1 1 0), d = 2.705 Å, I = 12
(1 1 2), d = 2.207 Å, I = 100
(1 0 3), d = 2.120 Å, I = 13
(2 0 0), d = 1.912 Å, I = 48
(2 0 2), d = 1.710 Å, I = 6
(2 1 1), d = 1.669 Å, I = 13
(1 1 4), d = 1.560 Å, I = 5
(2 1 3), d = 1.420 Å, I = 12
(2 2 0), d = 1.352 Å, I = 30
(3 0 1), d = 1.258 Å, I = 3

=====

Record 10
NaCrTe2Au: computed XRD peak list (Cu Kα X-rays), based on a crystal structure in Alexandria, relaxed with GGA-PBE.

Crystal structure
Lattice parameters (Å, degrees): 7.1827 15.7952 5.1091 90.00 90.00 90.00
Space group Cmme (No. 67)
Unique sites:
Na1 0.0000 0.2500 0.1582 [4 per cell]
Cr1 0.2500 0.0000 0.5000 [4 per cell]
Te1 0.0000 0.1242 0.6567 [8 per cell]
Au1 0.0000 0.0000 0.0000 [4 per cell]

The 12 most intense peaks (10 to 80 degrees two-theta), by angle:
(0 2 0), d = 7.898 Å, I = 100
(0 2 1), d = 4.290 Å, I = 15
(1 1 1), d = 4.026 Å, I = 27
(2 0 0), d = 3.591 Å, I = 55
(1 3 1), d = 3.266 Å, I = 36
(0 4 1), d = 3.124 Å, I = 39
(2 2 1), d = 2.754 Å, I = 36
(0 2 2), d = 2.431 Å, I = 15
(1 1 2), d = 2.379 Å, I = 14
(2 4 1), d = 2.357 Å, I = 67
(0 4 2), d = 2.145 Å, I = 23
(0 8 0), d = 1.974 Å, I = 17